(1)
# Ti2FeB2RuRh4
Theoretical X-ray diffraction stick pattern, Cu Kα, 1.54184 Å. Input: DFT lattice parameters and positions (GGA-PBE).

Structural model:
```
Ti2FeB2RuRh4
1.0
9.078 0.000 0.000
0.000 3.065 0.000
0.000 0.000 9.119
Ti Fe B Ru Rh
4 2 4 2 8
Direct
0.172 0.000 0.319
0.317 0.000 0.822
0.683 0.000 0.178
0.828 0.000 0.681
0.000 0.000 0.000
0.500 0.000 0.500
0.123 0.000 0.627
0.375 0.000 0.126
0.625 0.000 0.874
0.877 0.000 0.373
0.073 0.500 0.788
0.927 0.500 0.212
0.000 0.500 0.500
0.215 0.500 0.073
0.285 0.500 0.573
0.427 0.500 0.286
0.500 0.500 0.000
0.573 0.500 0.714
0.715 0.500 0.427
0.785 0.500 0.927
```

Peak list (10 most intense, 2θ from 5° to 70°, in order of rising 2θ)
2θ (°)  I_rel  index
29.14  45  0 1 0
35.58  31  3 0 2
36.71  49  1 1 -2
40.66  28  2 1 2
40.81  36  1 0 4
40.98  34  4 0 1
43.12  100  1 1 3
44.60  21  4 0 2
46.62  47  3 1 -2
60.41  21  0 2 0

(2)
# SmFeB4
Theoretical X-ray diffraction stick pattern, Cu Kα, 1.54184 Å. Input: DFT lattice parameters and positions (GGA-PBE).

Structural model:
```
SmFeB4
1.0
5.961 0.000 0.000
0.000 11.533 0.000
0.000 0.000 3.442
Sm Fe B
4 4 16
Direct
0.126 0.151 0.000
0.374 0.651 0.000
0.626 0.349 0.000
0.874 0.849 0.000
0.132 0.413 0.000
0.368 0.913 0.000
0.632 0.087 0.000
0.868 0.587 0.000
0.023 0.688 0.500
0.110 0.545 0.500
0.141 0.968 0.500
0.220 0.818 0.500
0.280 0.318 0.500
0.359 0.468 0.500
0.390 0.045 0.500
0.477 0.188 0.500
0.523 0.812 0.500
0.610 0.955 0.500
0.641 0.532 0.500
0.720 0.682 0.500
0.780 0.182 0.500
0.859 0.032 0.500
0.890 0.455 0.500
0.977 0.312 0.500
```

Peak list (10 most intense, 2θ from 5° to 70°, in order of rising 2θ)
2θ (°)  I_rel  index
21.44  21  1 2 0
25.89  65  0 0 1
27.61  30  1 3 0
31.00  90  0 4 0
33.85  19  1 2 1
38.21  47  1 3 1
40.82  100  0 4 1
43.68  23  1 4 1
46.73  21  2 3 1
62.89  28  0 4 2